# Pr5Sm3Tl2
Computed PXRD pattern, Cu Kα (weighted mean of Kα1 and Kα2). Input: DFT lattice parameters and positions (PBE).
Intensities are scaled so that the largest is 100.

Structure:
```
Pr5Sm3Tl2
1.0
-6.6825 7.7192 3.3718
6.6825 -7.7192 3.3718
6.6825 7.7192 -3.3718
Pr Sm Tl
10 6 4
direct
0.1615 0.1239 0.2854
0.2500 0.2500 0.0000
0.2500 0.5007 0.2507
0.2500 0.9993 0.7493
0.3385 0.6239 0.9624
0.6615 0.3761 0.0376
0.7500 0.0007 0.2507
0.7500 0.4993 0.7493
0.7500 0.7500 0.0000
0.8385 0.8761 0.7146
0.2370 0.3857 0.6228
0.2500 0.7500 0.5000
0.2630 0.8857 0.1487
0.7370 0.1143 0.8513
0.7500 0.2500 0.5000
0.7630 0.6143 0.3772
0.1444 0.6250 0.7694
0.3556 0.1250 0.4806
0.6444 0.8750 0.5194
0.8556 0.3750 0.2306
```

Top 6 peaks for 2θ = 15–90°, by intensity:
| 2θ (°) | I (rel.) |
| --- | --- |
| 28.90 | 100.0 |
| 37.91 | 97.9 |
| 29.12 | 96.1 |
| 34.66 | 90.4 |
| 25.53 | 52.1 |
| 52.44 | 50.7 |